# 1
Theoretical powder XRD pattern of LaSbPd for Cu Ka, from a cell relaxed with PBE.
Lines closer than 0.1° are merged.

abc: 4.6541 4.6541 8.2021
angles: 90.00 90.00 120.00
Element x y z (fractional)
La (0.0000, 0.0000, 0.0000)
La (0.0000, 0.0000, 0.5000)
Sb (0.3333, 0.6667, 0.2500)
Sb (0.6667, 0.3333, 0.7500)
Pd (0.3333, 0.6667, 0.7500)
Pd (0.6667, 0.3333, 0.2500)

Main lines, sorted by position (15 to 90 degrees two-theta):
2theta  I_rel  h k l
31.11  100  1 0 2
38.69  59  1 1 0
44.17  13  0 0 4
50.46  26  2 0 2
60.14  32  1 1 4
65.34  23  2 1 2
70.03  10  3 0 0
86.63  12  3 0 4

# 2
Theoretical powder XRD pattern of LaSb3Pd for Cu Ka, from a cell relaxed with PBE.
Lines closer than 0.1° are merged.

abc: 12.9828 6.3183 12.9523
angles: 90.00 90.00 90.00
Element x y z (fractional)
La (0.1906, 0.2259, 0.2500)
La (0.1906, 0.2741, 0.7500)
La (0.1994, 0.7500, 0.0000)
La (0.1994, 0.7500, 0.5000)
La (0.8006, 0.2500, 0.0000)
La (0.8006, 0.2500, 0.5000)
La (0.8094, 0.7259, 0.2500)
La (0.8094, 0.7741, 0.7500)
Sb (0.0025, 0.0142, 0.6207)
Sb (0.0025, 0.0142, 0.8793)
Sb (0.0025, 0.4858, 0.1207)
Sb (0.0025, 0.4858, 0.3793)
Sb (0.2651, 0.2500, 0.0000)
Sb (0.2651, 0.2500, 0.5000)
Sb (0.2735, 0.7324, 0.2500)
Sb (0.2735, 0.7676, 0.7500)
Sb (0.4368, 0.0789, 0.2500)
Sb (0.4368, 0.4211, 0.7500)
Sb (0.4740, 0.7500, 0.0000)
Sb (0.4740, 0.7500, 0.5000)
Sb (0.5260, 0.2500, 0.0000)
Sb (0.5260, 0.2500, 0.5000)
Sb (0.5632, 0.5789, 0.2500)
Sb (0.5632, 0.9211, 0.7500)
Sb (0.7265, 0.2324, 0.2500)
Sb (0.7265, 0.2676, 0.7500)
Sb (0.7349, 0.7500, 0.0000)
Sb (0.7349, 0.7500, 0.5000)
Sb (0.9975, 0.5142, 0.6207)
Sb (0.9975, 0.5142, 0.8793)
Sb (0.9975, 0.9858, 0.1207)
Sb (0.9975, 0.9858, 0.3793)
Pd (0.3978, 0.0491, 0.6347)
Pd (0.3978, 0.0491, 0.8653)
Pd (0.3978, 0.4509, 0.1347)
Pd (0.3978, 0.4509, 0.3653)
Pd (0.6022, 0.5491, 0.6347)
Pd (0.6022, 0.5491, 0.8653)
Pd (0.6022, 0.9509, 0.1347)
Pd (0.6022, 0.9509, 0.3653)

Main lines, sorted by position (15 to 90 degrees two-theta):
2theta  I_rel  h k l
27.50  36  4 0 0
28.56  34  3 1 2
30.86  65  2 0 4
31.50  89  2 2 0
34.00  83  4 1 2
34.60  55  3 0 4
35.18  49  3 2 0
39.86  100  0 2 4

# 3
Theoretical powder XRD pattern of La2Sb3Pd3 for Cu Ka, from a cell relaxed with PBE.
Lines closer than 0.1° are merged.

abc: 3.0839 3.0839 22.2057
angles: 90.00 90.00 90.00
Element x y z (fractional)
La (0.0000, 0.0000, 0.2398)
La (0.0000, 0.0000, 0.7602)
Sb (0.0000, 0.0000, 0.0000)
Sb (0.0000, 0.0000, 0.3837)
Sb (0.0000, 0.0000, 0.6163)
Pd (0.0000, 0.0000, 0.1206)
Pd (0.0000, 0.0000, 0.5000)
Pd (0.0000, 0.0000, 0.8794)

Main lines, sorted by position (15 to 90 degrees two-theta):
2theta  I_rel  h k l
28.95  100  1 0 0
32.25  33  0 0 8
41.41  38  1 1 0
43.88  56  1 0 8
53.43  31  1 1 8
67.97  17  2 1 0
69.77  14  2 0 8
77.24  21  2 1 8

# 4
Theoretical powder XRD pattern of LaSbPd for Cu Ka, from a cell relaxed with PBE.
Lines closer than 0.1° are merged.

abc: 4.6498 4.6498 8.1918
angles: 90.00 90.00 120.00
Element x y z (fractional)
La (0.0000, 0.0000, 0.0000)
La (0.0000, 0.0000, 0.5000)
Sb (0.3333, 0.6667, 0.2355)
Sb (0.6667, 0.3333, 0.7355)
Pd (0.3333, 0.6667, 0.7878)
Pd (0.6667, 0.3333, 0.2878)

Main lines, sorted by position (15 to 90 degrees two-theta):
2theta  I_rel  h k l
31.15  100  1 0 2
38.73  62  1 1 0
44.23  10  0 0 4
50.51  26  2 0 2
60.22  25  1 1 4
65.42  23  2 1 2
70.11  11  3 0 0
86.74  9  3 0 4